This entry pairs a crystal structure of La2Ho5Er3 with its simulated powder X-ray diffraction pattern. Radiation: Cu Kα. Structure: the GGA-PBE geometry in Alexandria.

Most intense lines, 15° ≤ 2θ ≤ 90°, sorted by position:
| two_theta | I (rel.) |
| --- | --- |
| 20.38 | 19 |
| 27.66 | 24 |
| 30.55 | 38 |
| 31.06 | 89 |
| 32.40 | 89 |
| 33.15 | 100 |
| 36.88 | 27 |
| 48.95 | 22 |
| 57.05 | 19 |
| 62.33 | 21 |

Crystal structure
a = 8.983 Å, b = 8.983 Å, c = 9.753 Å
α = 105.81°, β = 105.81°, γ = 105.32°
Element x y z (fractional)
La (0.050, 0.299, 0.044)
La (0.299, 0.050, 0.544)
La (0.701, 0.950, 0.456)
La (0.950, 0.701, 0.956)
Ho (0.033, 0.967, 0.750)
Ho (0.072, 0.322, 0.667)
Ho (0.253, 0.747, 0.750)
Ho (0.322, 0.072, 0.167)
Ho (0.495, 0.505, 0.750)
Ho (0.505, 0.495, 0.250)
Ho (0.678, 0.928, 0.833)
Ho (0.747, 0.253, 0.250)
Ho (0.928, 0.678, 0.333)
Ho (0.967, 0.033, 0.250)
Er (0.201, 0.452, 0.419)
Er (0.273, 0.727, 0.250)
Er (0.452, 0.201, 0.919)
Er (0.548, 0.799, 0.081)
Er (0.727, 0.273, 0.750)
Er (0.799, 0.548, 0.581)